Entry 1:
The following is a calculated powder diffraction line list of AlCdB. It was derived from a PBE-relaxed structure, using Cu Kα (λ = 1.5418 Å).

```
AlCdB
1.0
3.393 0.000 0.000
1.693 5.084 0.000
1.679 -0.235 5.896
Al Cd B
2 2 2
direct
0.000 0.000 0.000
0.179 0.496 0.147
0.031 0.320 0.627
0.335 0.770 0.564
0.347 0.093 0.216
0.532 0.779 0.157
```

Peak list (6 most intense, 2θ = 10–80°, by intensity)
2theta  Rel. int.
15.0  100
38.0  54
28.8  50
30.3  48
35.8  43
28.7  42

Entry 2:
The following is a calculated powder diffraction line list of DySiPd. It was derived from a PBE-relaxed structure, using Cu Kα (λ = 1.5418 Å).

```
DySiPd
1.0
4.350 0.000 0.000
-2.175 3.767 0.000
0.000 0.000 3.528
Dy Si Pd
1 1 1
direct
0.000 0.000 0.000
0.333 0.667 0.500
0.667 0.333 0.500
```

Peak list (6 most intense, 2θ = 10–80°, by intensity)
2theta  Rel. int.
34.8  100
41.5  47
23.6  30
55.3  26
71.4  24
68.5  21

Entry 3:
The following is a calculated powder diffraction line list of AcLa6Tb2Dy. It was derived from a PBE-relaxed structure, using Cu Kα (λ = 1.5418 Å).

```
AcLa6Tb2Dy
1.0
4.731 -7.791 0.000
4.731 7.791 0.000
-1.310 0.000 9.914
Ac La Tb Dy
2 12 4 2
direct
0.024 0.976 0.750
0.976 0.024 0.250
0.005 0.554 0.688
0.114 0.751 0.050
0.249 0.886 0.450
0.296 0.507 0.879
0.446 0.995 0.812
0.493 0.704 0.621
0.507 0.296 0.379
0.554 0.005 0.188
0.704 0.493 0.121
0.751 0.114 0.550
0.886 0.249 0.950
0.995 0.446 0.312
0.202 0.304 0.545
0.304 0.202 0.045
0.696 0.798 0.955
0.798 0.696 0.455
0.411 0.589 0.250
0.589 0.411 0.750
```

Peak list (6 most intense, 2θ = 10–80°, by intensity)
2theta  Rel. int.
30.2  100
29.4  81
27.5  41
30.4  37
32.5  35
27.0  27